No. 1
Theoretical powder diffraction line list
Compound: YPRu2
Radiation: CuKα
Structure: the GGA-PBE geometry in Alexandria

Atomic structure:
```
YPRu2
1.0
7.1538 0.0000 0.0000
0.0000 7.1538 0.0000
0.0000 0.0000 5.6847
Y P Ru
4 4 8
Direct
0.0000 0.0000 0.0000
0.0000 0.5000 0.2500
0.5000 0.0000 0.7500
0.5000 0.5000 0.5000
0.0000 0.0000 0.5000
0.0000 0.5000 0.7500
0.5000 0.0000 0.2500
0.5000 0.5000 0.0000
0.1561 0.2500 0.6250
0.2500 0.6561 0.8750
0.2500 0.8439 0.3750
0.3439 0.2500 0.1250
0.6561 0.7500 0.1250
0.7500 0.1561 0.3750
0.7500 0.3439 0.8750
0.8439 0.7500 0.6250
```

Most intense lines, 2θ = 10–80°, in order of falling intensity:
two_theta, I (rel.)
32.1, 100.0
36.3, 82.8
35.5, 39.7
41.0, 27.3
51.6, 24.8
48.6, 20.1
71.4, 17.0
68.5, 16.7
39.8, 16.2
67.5, 15.3

No. 2
Theoretical powder diffraction line list
Compound: Zn4PRu
Radiation: CuKα
Structure: the GGA-PBE geometry in Alexandria

Atomic structure:
```
Zn4PRu
1.0
0.0000 3.5025 3.5025
3.5025 0.0000 3.5025
3.5025 3.5025 0.0000
Zn P Ru
4 1 1
Direct
0.3756 0.3756 0.3756
0.3756 0.3756 0.8731
0.3756 0.8731 0.3756
0.8731 0.3756 0.3756
0.0000 0.0000 0.0000
0.7500 0.7500 0.7500
```

Most intense lines, 2θ = 10–80°, in order of falling intensity:
two_theta, I (rel.)
42.8, 100.0
44.8, 43.1
69.8, 29.2
36.3, 24.3
77.0, 24.3
22.0, 16.1
25.4, 8.3
65.3, 8.3
52.2, 5.4
59.0, 3.7

No. 3
Theoretical powder diffraction line list
Compound: Zr2P7Ru12
Radiation: CuKα
Structure: the GGA-PBE geometry in Alexandria

Atomic structure:
```
Zr2P7Ru12
1.0
9.3641 0.0000 0.0000
-4.6820 8.1095 0.0000
0.0000 0.0000 3.9019
Zr P Ru
2 7 12
Direct
0.0000 0.0000 0.0000
0.3333 0.6667 0.5000
0.0899 0.4500 0.0000
0.2627 0.2128 0.5000
0.3601 0.9101 0.0000
0.5500 0.6399 0.0000
0.6667 0.3333 0.0000
0.7872 0.0500 0.5000
0.9500 0.7373 0.5000
0.0576 0.2770 0.5000
0.0988 0.6945 0.0000
0.2194 0.9424 0.5000
0.3055 0.4043 0.0000
0.3923 0.1703 0.0000
0.5410 0.4226 0.5000
0.5774 0.1184 0.5000
0.5957 0.9012 0.0000
0.7230 0.7806 0.5000
0.7780 0.6077 0.0000
0.8297 0.2220 0.0000
0.8816 0.4590 0.5000
```

Most intense lines, 2θ = 10–80°, in order of falling intensity:
two_theta, I (rel.)
37.3, 100.0
46.6, 34.6
51.7, 17.2
72.1, 12.4
29.1, 12.3
49.0, 9.7
44.7, 9.4
40.6, 8.9
65.4, 6.6
69.9, 6.5

No. 4
Theoretical powder diffraction line list
Compound: ZrPRu
Radiation: CuKα
Structure: the GGA-PBE geometry in Alexandria

Atomic structure:
```
ZrPRu
1.0
6.5411 0.0000 0.0000
0.0000 3.7975 0.0000
-0.1717 0.0000 11.2362
Zr P Ru
6 6 6
Direct
0.0216 0.2500 0.2079
0.3469 0.7500 0.5785
0.4727 0.7500 0.8803
0.5273 0.2500 0.1197
0.6531 0.2500 0.4215
0.9784 0.7500 0.7921
0.2289 0.2500 0.4156
0.2321 0.7500 0.0810
0.2696 0.2500 0.7516
0.7304 0.7500 0.2484
0.7679 0.2500 0.9190
0.7711 0.7500 0.5844
0.0114 0.2500 0.5921
0.1509 0.2500 0.9612
0.3596 0.7500 0.2976
0.6404 0.2500 0.7024
0.8491 0.7500 0.0388
0.9886 0.7500 0.4079
```

Most intense lines, 2θ = 10–80°, in order of falling intensity:
two_theta, I (rel.)
36.2, 100.0
39.9, 62.2
36.5, 48.6
47.9, 42.6
42.1, 29.9
42.7, 22.3
39.6, 19.9
42.3, 18.6
28.4, 16.3
65.6, 15.1

No. 5
Theoretical powder diffraction line list
Compound: ZrPRu2
Radiation: CuKα
Structure: the GGA-PBE geometry in Alexandria

Atomic structure:
```
ZrPRu2
1.0
2.9887 0.0000 0.0000
0.0000 4.5858 0.0000
0.0000 0.0000 8.8358
Zr P Ru
2 2 4
Direct
0.0000 0.0000 0.0000
0.5000 0.5000 0.5000
0.0000 0.0000 0.5000
0.5000 0.5000 0.0000
0.0000 0.5000 0.2131
0.0000 0.5000 0.7869
0.5000 0.0000 0.2869
0.5000 0.0000 0.7131
```

Most intense lines, 2θ = 10–80°, in order of falling intensity:
two_theta, I (rel.)
41.5, 100.0
39.3, 33.5
36.2, 29.4
72.7, 18.2
40.9, 16.8
31.6, 13.5
58.0, 11.7
74.9, 11.2
60.9, 10.5
76.0, 9.2

No. 6
Theoretical powder diffraction line list
Compound: ZrP4Ru4
Radiation: CuKα
Structure: the GGA-PBE geometry in Alexandria

Atomic structure:
```
ZrP4Ru4
1.0
6.0287 0.0000 0.0000
0.0000 6.0287 0.0000
0.0000 0.0000 7.3952
Zr P Ru
2 8 8
Direct
0.2500 0.7500 0.2500
0.7500 0.2500 0.7500
0.0235 0.2500 0.0516
0.2500 0.0235 0.5516
0.2500 0.4765 0.5516
0.4765 0.2500 0.0516
0.5235 0.7500 0.9484
0.7500 0.5235 0.4484
0.7500 0.9765 0.4484
0.9765 0.7500 0.9484
0.0241 0.2500 0.3650
0.2500 0.0241 0.8650
0.2500 0.4759 0.8650
0.4759 0.2500 0.3650
0.5241 0.7500 0.6350
0.7500 0.5241 0.1350
0.7500 0.9759 0.1350
0.9759 0.7500 0.6350
```

Most intense lines, 2θ = 10–80°, in order of falling intensity:
two_theta, I (rel.)
35.4, 100.0
47.7, 48.9
28.3, 41.4
42.4, 31.7
32.1, 26.6
39.5, 24.7
61.5, 23.2
67.0, 18.3
60.8, 15.7
59.3, 14.4

No. 7
Theoretical powder diffraction line list
Compound: P4S5
Radiation: CuKα
Structure: the GGA-PBE geometry in Alexandria

Atomic structure:
```
P4S5
1.0
6.8993 0.0000 0.0000
0.0000 11.5497 0.0000
-2.9645 0.0000 6.9299
P S
8 10
Direct
0.0193 0.0000 0.4300
0.0398 0.1011 0.0328
0.1786 0.7220 0.8921
0.2377 0.4777 0.0485
0.7623 0.9777 0.9515
0.8214 0.2220 0.1079
0.9602 0.6011 0.9672
0.9807 0.5000 0.5700
0.1275 0.6653 0.6077
0.2007 0.3933 0.7868
0.2392 0.0344 0.2966
0.3238 0.3656 0.2575
0.4394 0.6220 0.0938
0.5606 0.1220 0.9062
0.6762 0.8656 0.7425
0.7608 0.5344 0.7034
0.7993 0.8933 0.2132
0.8725 0.1653 0.3923
```

Most intense lines, 2θ = 10–80°, in order of falling intensity:
two_theta, I (rel.)
16.7, 100.0
27.1, 56.8
14.9, 44.6
15.9, 36.2
14.0, 31.5
15.3, 30.9
12.8, 25.8
30.1, 16.6
25.2, 15.9
25.9, 15.4

No. 8
Theoretical powder diffraction line list
Compound: P2S3
Radiation: CuKα
Structure: the GGA-PBE geometry in Alexandria

Atomic structure:
```
P2S3
1.0
10.6737 0.0000 0.0000
0.0000 5.8634 0.0000
0.0000 0.0000 4.6953
P S
4 6
Direct
0.1472 0.1064 0.0000
0.3528 0.8936 0.5000
0.6472 0.8936 0.5000
0.8528 0.1064 0.0000
0.0000 0.9459 0.7593
0.2188 0.7967 0.1854
0.2812 0.2033 0.6854
0.5000 0.0541 0.2593
0.7188 0.2033 0.6854
0.7812 0.7967 0.1854
```

Most intense lines, 2θ = 10–80°, in order of falling intensity:
two_theta, I (rel.)
15.1, 100.0
29.6, 30.4
31.5, 26.8
20.7, 22.5
25.7, 18.9
16.6, 16.6
35.2, 16.2
24.3, 14.6
50.6, 11.2
34.9, 11.2

Q: Number 2 is which compound?
A: Zn4PRu

Repeat the second record exactly.
Theoretical powder diffraction line list
Compound: Zn4PRu
Radiation: CuKα
Structure: the GGA-PBE geometry in Alexandria

Atomic structure:
```
Zn4PRu
1.0
0.0000 3.5025 3.5025
3.5025 0.0000 3.5025
3.5025 3.5025 0.0000
Zn P Ru
4 1 1
Direct
0.3756 0.3756 0.3756
0.3756 0.3756 0.8731
0.3756 0.8731 0.3756
0.8731 0.3756 0.3756
0.0000 0.0000 0.0000
0.7500 0.7500 0.7500
```

Most intense lines, 2θ = 10–80°, in order of falling intensity:
two_theta, I (rel.)
42.8, 100.0
44.8, 43.1
69.8, 29.2
36.3, 24.3
77.0, 24.3
22.0, 16.1
25.4, 8.3
65.3, 8.3
52.2, 5.4
59.0, 3.7